Simulated powder diffraction line list of Mn2CdCo2 for λ = 1.5418 Å (Cu Kα), from a DFT-relaxed cell (GGA-PBE, Alexandria).
Neutral-atom scattering factors, no anomalous dispersion.

Principal peaks in the range 2θ = 10–80°, most intense first:
h k l	d (Å)	two_theta	I_rel
3 1 0	2.199	41.05	1000
2 1 1	2.070	43.74	877
2 0 1	2.168	41.66	318
3 1 1	1.723	53.16	227
1 1 1	2.415	37.23	204
2 2 0	2.459	36.55	204
4 2 0	1.555	59.44	135
0 0 1	2.773	32.29	133
5 1 1	1.224	78.10	122
0 0 2	1.386	67.57	106
2 0 0	3.477	25.62	100
2 2 1	1.840	49.55	99

Cell and atoms:
```
data_Mn2CdCo2
_chemical_formula_sum 'Mn4 Cd2 Co4'
_cell_length_a 6.9538
_cell_length_b 6.9538
_cell_length_c 2.7727
_cell_angle_alpha 90.00
_cell_angle_beta 90.00
_cell_angle_gamma 90.00
_symmetry_space_group_name_H-M 'P 4/m b m'
_symmetry_Int_Tables_number 127
_symmetry_space_group_name_Hall '-P 4 2ab'
loop_
_atom_site_label
_atom_site_type_symbol
_atom_site_fract_x
_atom_site_fract_y
_atom_site_fract_z
Mn1 Mn 0.1549 0.3451 0.0000
Cd1 Cd 0.0000 0.0000 0.5000
Co1 Co 0.1347 0.6347 0.5000
```